Structure and theoretical powder diffractogram of Ho2In8Co (a DFT-relaxed cell (PBE, the Materials Project); Cu Kα (weighted mean of Kα1 and Kα2)).
Neutral-atom scattering factors, no anomalous dispersion.

Principal peaks in the range 10° ≤ 2θ ≤ 90°, in order of rising 2θ:
Position (°2θ)	I/Imax
31.1	49
35.4	100
37.6	22
38.8	59
55.1	29
56.0	20
65.4	11
68.0	28
69.0	16
69.4	14

Cell and atoms:
```
Ho2In8Co
1.0
4.645 0.000 0.000
0.000 4.645 0.000
0.000 0.000 11.961
Ho In Co
2 8 1
Direct
0.000 0.000 0.194 Ho
0.000 0.000 0.806 Ho
0.000 0.500 0.000 In
0.000 0.500 0.380 In
0.000 0.500 0.620 In
0.500 0.000 0.000 In
0.500 0.000 0.380 In
0.500 0.000 0.620 In
0.500 0.500 0.196 In
0.500 0.500 0.804 In
0.000 0.000 0.500 Co
```


Structure and theoretical powder diffractogram of HoInCo2 (a DFT-relaxed cell (PBE, the Materials Project); Cu Kα (weighted mean of Kα1 and Kα2)).
Neutral-atom scattering factors, no anomalous dispersion.

Principal peaks in the range 10° ≤ 2θ ≤ 90°, in order of rising 2θ:
Position (°2θ)	I/Imax
31.1	100
33.7	20
36.0	28
38.2	24
38.3	60
42.4	24
44.5	42
44.8	31
48.3	17
69.1	21

Cell and atoms:
```
HoInCo2
1.0
4.991 0.000 0.000
0.000 4.047 0.000
0.000 0.000 7.066
Ho In Co
2 2 4
Direct
0.250 0.000 0.222 Ho
0.750 0.000 0.778 Ho
0.250 0.500 0.849 In
0.750 0.500 0.151 In
0.000 0.500 0.500 Co
0.250 0.000 0.596 Co
0.500 0.500 0.500 Co
0.750 0.000 0.404 Co
```


Structure and theoretical powder diffractogram of Ho2Mn3Co14 (a DFT-relaxed cell (PBE, the Materials Project); Cu Kα (weighted mean of Kα1 and Kα2)).
Neutral-atom scattering factors, no anomalous dispersion.

Principal peaks in the range 10° ≤ 2θ ≤ 90°, in order of rising 2θ:
Position (°2θ)	I/Imax
30.7	41
37.5	42
41.6	30
43.6	57
43.8	100
44.3	32
47.2	16
63.5	16
63.9	17
81.2	18

Cell and atoms:
```
Ho2Mn3Co14
1.0
8.304 0.000 0.000
-4.152 7.192 0.000
0.000 0.000 8.173
Ho Mn Co
4 6 28
Direct
0.000 0.000 0.250 Ho
0.000 0.000 0.750 Ho
0.333 0.667 0.250 Ho
0.667 0.333 0.750 Ho
0.000 0.500 0.000 Mn
0.000 0.500 0.500 Mn
0.500 0.000 0.000 Mn
0.500 0.000 0.500 Mn
0.500 0.500 0.000 Mn
0.500 0.500 0.500 Mn
0.043 0.371 0.750 Co
0.043 0.672 0.750 Co
0.163 0.326 0.013 Co
0.163 0.326 0.487 Co
0.163 0.837 0.013 Co
0.163 0.837 0.487 Co
0.326 0.163 0.513 Co
0.326 0.163 0.987 Co
0.328 0.371 0.750 Co
0.328 0.957 0.750 Co
0.333 0.667 0.610 Co
0.333 0.667 0.890 Co
0.371 0.043 0.250 Co
0.371 0.328 0.250 Co
0.629 0.672 0.750 Co
0.629 0.957 0.750 Co
0.667 0.333 0.110 Co
0.667 0.333 0.390 Co
0.672 0.043 0.250 Co
0.672 0.629 0.250 Co
0.674 0.837 0.013 Co
0.674 0.837 0.487 Co
0.837 0.163 0.513 Co
0.837 0.163 0.987 Co
0.837 0.674 0.513 Co
0.837 0.674 0.987 Co
0.957 0.328 0.250 Co
0.957 0.629 0.250 Co
```


Structure and theoretical powder diffractogram of HoCoNi (a DFT-relaxed cell (PBE, the Materials Project); Cu Kα (weighted mean of Kα1 and Kα2)).
Neutral-atom scattering factors, no anomalous dispersion.

Principal peaks in the range 10° ≤ 2θ ≤ 90°, in order of rising 2θ:
Position (°2θ)	I/Imax
35.3	100
36.5	19
41.1	34
41.4	30
41.9	63
42.6	55
44.3	14
63.5	15
64.9	14
74.7	27

Cell and atoms:
```
HoCoNi
1.0
4.928 0.000 0.000
0.000 5.071 0.000
0.000 0.000 7.307
Ho Co Ni
4 4 4
Direct
0.000 0.250 0.122 Ho
0.000 0.750 0.878 Ho
0.500 0.250 0.378 Ho
0.500 0.750 0.622 Ho
0.250 0.250 0.750 Co
0.250 0.750 0.250 Co
0.750 0.250 0.750 Co
0.750 0.750 0.250 Co
0.000 0.000 0.500 Ni
0.000 0.500 0.500 Ni
0.500 0.000 0.000 Ni
0.500 0.500 0.000 Ni
```